No. 1
This entry pairs a crystal structure of Na3Ge3Pd with its simulated XRD peak list. Radiation: λ = 1.5418 Å (Cu Kα). Structure: DFT lattice parameters and positions (GGA-PBE).

Most intense lines, 2θ from 5° to 70°, sorted by position:
- 17.88 deg, I 1000
- 26.03 deg, I 816
- 30.70 deg, I 576
- 32.79 deg, I 455
- 36.22 deg, I 239
- 38.05 deg, I 653
- 41.10 deg, I 795
- 42.34 deg, I 197
- 50.73 deg, I 311
- 57.24 deg, I 330
- 63.94 deg, I 180
- 64.22 deg, I 231

Structural model:
a b c (Å): 9.4607 9.4607 6.2311
angles (deg): 90.00 90.00 120.00
Space group R3m (No. 160, hexagonal axes)
Asymmetric unit:
Na: 0.0786 0.5393 0.0000
Ge: 0.0546 0.5273 0.4935
Pd: 0.0000 0.0000 0.7104

---

No. 2
This entry pairs a crystal structure of Pm8As4Se3 with its simulated XRD peak list. Radiation: λ = 1.5418 Å (Cu Kα). Structure: DFT lattice parameters and positions (GGA-PBE).

Most intense lines, 2θ from 5° to 70°, sorted by position:
- 12.91 deg, I 31
- 24.86 deg, I 12
- 25.98 deg, I 252
- 30.08 deg, I 1000
- 43.06 deg, I 746
- 50.95 deg, I 81
- 51.04 deg, I 41
- 53.42 deg, I 263
- 62.48 deg, I 81
- 62.64 deg, I 41
- 68.86 deg, I 33
- 68.95 deg, I 16

Structural model:
a b c (Å): 11.865 11.887 8.394
angles (deg): 90.00 134.88 90.00
Space group C2/m (No. 12)
Asymmetric unit:
Pm: 0.000 0.246 0.000
Pm: 0.000 0.253 0.500
Pm: 0.248 0.500 0.990
Pm: 0.249 0.000 0.496
As: 0.000 0.000 0.000
As: 0.000 0.500 0.500
As: 0.250 0.250 0.500
Se: 0.000 0.500 0.000
Se: 0.250 0.250 0.000

---

No. 3
This entry pairs a crystal structure of PaTl2Hg2I6 with its simulated XRD peak list. Radiation: λ = 1.5418 Å (Cu Kα). Structure: DFT lattice parameters and positions (GGA-PBE).

Most intense lines, 2θ from 5° to 70°, sorted by position:
- 9.40 deg, I 431
- 12.54 deg, I 149
- 15.15 deg, I 140
- 24.08 deg, I 512
- 24.51 deg, I 1000
- 30.75 deg, I 128
- 32.34 deg, I 136
- 32.52 deg, I 327
- 33.73 deg, I 174
- 36.11 deg, I 159
- 36.63 deg, I 345
- 43.87 deg, I 152

Structural model:
a b c (Å): 8.468 14.924 9.943
angles (deg): 90.00 108.83 90.00
Space group C2/m (No. 12)
Asymmetric unit:
Pa: 0.000 0.000 0.000
Tl: 0.000 0.333 0.000
Hg: 0.000 0.186 0.500
I: 0.216 0.144 0.189
I: 0.222 0.000 0.812

---

No. 4
This entry pairs a crystal structure of PrDy6In3 with its simulated XRD peak list. Radiation: λ = 1.5418 Å (Cu Kα). Structure: DFT lattice parameters and positions (GGA-PBE).

Most intense lines, 2θ from 5° to 70°, sorted by position:
- 27.97 deg, I 158
- 28.49 deg, I 485
- 31.45 deg, I 167
- 31.82 deg, I 261
- 32.30 deg, I 279
- 32.56 deg, I 1000
- 33.27 deg, I 183
- 33.95 deg, I 245
- 38.30 deg, I 275
- 39.14 deg, I 165
- 53.08 deg, I 208
- 58.31 deg, I 138

Structural model:
a b c (Å): 12.533 14.210 6.784
angles (deg): 90.00 90.00 90.00
Space group Cmc2_1 (No. 36)
Asymmetric unit:
Pr: 0.000 0.206 0.000
Dy: 0.000 0.193 0.482
Dy: 0.000 0.422 0.763
Dy: 0.222 0.027 0.497
Dy: 0.230 0.285 0.670
In: 0.000 0.002 0.740
In: 0.115 0.380 0.289

---

No. 5
This entry pairs a crystal structure of Pr3In5 with its simulated XRD peak list. Radiation: λ = 1.5418 Å (Cu Kα). Structure: DFT lattice parameters and positions (GGA-PBE).

Most intense lines, 2θ from 5° to 70°, sorted by position:
- 28.75 deg, I 280
- 32.34 deg, I 1000
- 32.93 deg, I 257
- 33.28 deg, I 318
- 33.72 deg, I 368
- 34.98 deg, I 247
- 37.60 deg, I 223
- 38.12 deg, I 257
- 49.38 deg, I 125
- 55.60 deg, I 176
- 64.41 deg, I 192
- 66.63 deg, I 149

Structural model:
a b c (Å): 10.260 8.369 10.632
angles (deg): 90.00 90.00 90.00
Space group Cmcm (No. 63)
Asymmetric unit:
Pr: 0.000 0.130 0.250
Pr: 0.203 0.500 0.000
In: 0.000 0.191 0.549
In: 0.000 0.488 0.750
In: 0.212 0.210 0.750

---

No. 6
This entry pairs a crystal structure of Li2BPd3 with its simulated XRD peak list. Radiation: λ = 1.5418 Å (Cu Kα). Structure: DFT lattice parameters and positions (GGA-PBE).

Most intense lines, 2θ from 5° to 70°, sorted by position:
- 18.38 deg, I 280
- 22.55 deg, I 512
- 29.25 deg, I 372
- 32.11 deg, I 319
- 39.60 deg, I 1000
- 41.84 deg, I 611
- 43.98 deg, I 301
- 46.05 deg, I 126
- 55.49 deg, I 135
- 57.24 deg, I 191
- 63.95 deg, I 135
- 68.74 deg, I 172

Structural model:
a b c (Å): 6.828 6.828 6.828
angles (deg): 90.00 90.00 90.00
Space group P4_332 (No. 212)
Asymmetric unit:
Li: 0.057 0.443 0.557
B: 0.125 0.875 0.375
Pd: 0.054 0.625 0.196